[1]
For Y5Pt4, a DFT-relaxed cell (PBE, the Materials Project) gives the theoretical powder XRD pattern in this record (Cu Ka).
Peak positions follow from Bragg's law for the DFT cell and can differ from measured ones.

Unit cell a=7.537 b=14.746 c=7.607 alpha=90.00 beta=90.00 gamma=90.00
Positions (direct):
Y: 0.002 0.093 0.181
Y: 0.002 0.407 0.181
Y: 0.156 0.122 0.667
Y: 0.156 0.378 0.667
Y: 0.181 0.750 0.512
Y: 0.319 0.250 0.012
Y: 0.344 0.622 0.167
Y: 0.344 0.878 0.167
Y: 0.498 0.593 0.681
Y: 0.498 0.907 0.681
Y: 0.502 0.093 0.319
Y: 0.502 0.407 0.319
Y: 0.656 0.122 0.833
Y: 0.656 0.378 0.833
Y: 0.681 0.750 0.988
Y: 0.819 0.250 0.488
Y: 0.844 0.622 0.333
Y: 0.844 0.878 0.333
Y: 0.998 0.593 0.819
Y: 0.998 0.907 0.819
Pt: 0.047 0.750 0.112
Pt: 0.183 0.542 0.468
Pt: 0.183 0.958 0.468
Pt: 0.185 0.250 0.359
Pt: 0.315 0.750 0.859
Pt: 0.317 0.042 0.968
Pt: 0.317 0.458 0.968
Pt: 0.453 0.250 0.612
Pt: 0.547 0.750 0.388
Pt: 0.683 0.542 0.032
Pt: 0.683 0.958 0.032
Pt: 0.685 0.250 0.141
Pt: 0.815 0.750 0.641
Pt: 0.817 0.042 0.532
Pt: 0.817 0.458 0.532
Pt: 0.953 0.250 0.888

Most intense lines, 2θ = 5–70°, low angle first:
2θ (°)	I (rel.)
20.5	28.5
24.6	50.0
32.0	100.0
32.2	79.0
33.9	30.9
34.7	30.0
36.0	29.2
36.1	33.4
36.6	30.2
37.7	83.7
37.9	48.7
46.3	30.1

=====

[2]
For YPt3, a DFT-relaxed cell (PBE, the Materials Project) gives the theoretical powder XRD pattern in this record (Cu Ka).
Peak positions follow from Bragg's law for the DFT cell and can differ from measured ones.

Unit cell a=4.130 b=4.130 c=4.130 alpha=90.00 beta=90.00 gamma=90.00
Positions (direct):
Y: 0.000 0.000 0.000
Pt: 0.000 0.500 0.500
Pt: 0.500 0.000 0.500
Pt: 0.500 0.500 0.000

Most intense lines, 2θ = 5–70°, low angle first:
2θ (°)	I (rel.)
21.5	6.8
30.6	5.9
37.7	100.0
43.8	49.4
49.3	3.4
54.4	2.6
63.7	32.8
68.1	1.7